This entry pairs a crystal structure of Ca2Pm3Pr2 with its calculated X-ray diffraction stick pattern. Radiation: λ = 1.5418 Å (Cu Kα). Structure: a cell relaxed with GGA-PBE.

Principal peaks in the range 2θ from 15° to 90°, most intense first:
| 2θ/deg | I (rel.) |
| --- | --- |
| 29.3 | 100 |
| 29.6 | 99 |
| 49.0 | 35 |
| 33.7 | 35 |
| 34.2 | 33 |
| 34.5 | 32 |

Crystal structure
```
Ca2Pm3Pr2
1.0
5.8477 -2.6598 0.0000
5.8477 2.6598 0.0000
-1.3027 0.0000 8.1582
Ca Pm Pr
2 3 2
Direct
0.0693 0.0693 0.2143
0.9307 0.9307 0.7857
0.3504 0.3504 0.0752
0.5000 0.5000 0.5000
0.6496 0.6496 0.9248
0.2177 0.2177 0.6444
0.7823 0.7823 0.3556
```